Diffraction record for Cs3VCl6O4. The X-ray diffraction stick pattern is simulated, not measured: it uses a PBE+U-relaxed structure and Cu Kα X-rays.
Intensities are scaled so that the largest is 100.

```
data_Cs3VCl6O4
_space_group_name_H-M_alt 'I m m m'
_space_group_IT_number 71
_space_group_name_Hall '-I 2 2'
_cell_length_a 5.828
_cell_length_b 8.158
_cell_length_c 17.876
_cell_angle_alpha 90.00
_cell_angle_beta 90.00
_cell_angle_gamma 90.00
loop_
_atom_site_label
_atom_site_fract_x
_atom_site_fract_y
_atom_site_fract_z
Cs1 0.000 0.000 0.000
Cs2 0.000 0.500 0.308
V1 0.000 0.000 0.500
Cl1 0.000 0.269 0.147
Cl2 0.000 0.291 0.500
O1 0.211 0.000 0.424
```

The 10 most intense peaks (2θ from 5° to 70°), by intensity:
h k l  Position (°2θ)  d/Å  I (rel.)
1 1 2  21.21  4.189  100
2 0 0  30.68  2.915  98
0 1 5  27.23  3.275  33
1 3 2  37.88  2.375  31
3 2 3  54.54  1.683  18
2 0 6  43.44  2.083  17
0 1 1  11.93  7.421  16
1 1 8  44.84  2.021  15
0 2 0  21.79  4.079  15
0 0 6  29.99  2.979  15

=====

Diffraction record for Cs2VCl5O4. The X-ray diffraction stick pattern is simulated, not measured: it uses a PBE+U-relaxed structure and Cu Kα X-rays.
Intensities are scaled so that the largest is 100.

```
data_Cs2VCl5O4
_space_group_name_H-M_alt 'C 1 2/m 1'
_space_group_IT_number 12
_space_group_name_Hall '-C 2y'
_cell_length_a 17.095
_cell_length_b 5.738
_cell_length_c 6.873
_cell_angle_alpha 90.00
_cell_angle_beta 106.37
_cell_angle_gamma 90.00
loop_
_atom_site_label
_atom_site_fract_x
_atom_site_fract_y
_atom_site_fract_z
Cs1 0.202 0.000 0.212
V1 0.000 0.500 0.500
Cl1 0.000 0.000 0.000
Cl2 0.114 0.500 0.369
Cl3 0.167 0.000 0.694
O1 0.048 0.289 0.701
```

The 10 most intense peaks (2θ from 5° to 70°), by intensity:
h k l  Position (°2θ)  d/Å  I (rel.)
1 1 -1  20.22  4.391  100
3 1 0  22.46  3.958  66
5 1 0  31.41  2.848  48
1 1 2  33.09  2.707  44
5 1 -2  36.29  2.476  39
0 2 0  31.17  2.869  38
2 0 -2  26.13  3.410  33
3 1 1  28.57  3.124  28
2 2 -2  41.12  2.195  24
4 0 1  28.69  3.111  21

=====

Q: Which formula does entry 1 have?
A: Cs3VCl6O4

=====

Repeat the second record exactly.
Diffraction record for Cs2VCl5O4. The X-ray diffraction stick pattern is simulated, not measured: it uses a PBE+U-relaxed structure and Cu Kα X-rays.
Intensities are scaled so that the largest is 100.

```
data_Cs2VCl5O4
_space_group_name_H-M_alt 'C 1 2/m 1'
_space_group_IT_number 12
_space_group_name_Hall '-C 2y'
_cell_length_a 17.095
_cell_length_b 5.738
_cell_length_c 6.873
_cell_angle_alpha 90.00
_cell_angle_beta 106.37
_cell_angle_gamma 90.00
loop_
_atom_site_label
_atom_site_fract_x
_atom_site_fract_y
_atom_site_fract_z
Cs1 0.202 0.000 0.212
V1 0.000 0.500 0.500
Cl1 0.000 0.000 0.000
Cl2 0.114 0.500 0.369
Cl3 0.167 0.000 0.694
O1 0.048 0.289 0.701
```

The 10 most intense peaks (2θ from 5° to 70°), by intensity:
h k l  Position (°2θ)  d/Å  I (rel.)
1 1 -1  20.22  4.391  100
3 1 0  22.46  3.958  66
5 1 0  31.41  2.848  48
1 1 2  33.09  2.707  44
5 1 -2  36.29  2.476  39
0 2 0  31.17  2.869  38
2 0 -2  26.13  3.410  33
3 1 1  28.57  3.124  28
2 2 -2  41.12  2.195  24
4 0 1  28.69  3.111  21